(1)
Diffraction record for Al3Ag4. The powder X-ray diffraction pattern is computed, not measured: it uses a PBE-relaxed structure and a wavelength of 1.5418 Å.
Neutral-atom scattering factors, no anomalous dispersion.

Crystal structure
Lattice parameters (Å, degrees): 14.3345 14.3345 14.3345 168.34 168.34 16.52
Sites, in units of the cell vectors:
Al  0.0000  0.0000  0.0000
Al  0.1411  0.1411  0.0000
Al  0.7133  0.7133  0.0000
Ag  0.2816  0.2816  0.0000
Ag  0.4330  0.4330  0.0000
Ag  0.5691  0.5691  0.0000
Ag  0.8572  0.8572  0.0000

Principal peaks in the range 15° ≤ 2θ ≤ 90°, in order of rising 2θ:
2theta, d_spacing, I_rel
32.16, 2.783, 11
38.05, 2.365, 100
43.97, 2.059, 32
44.72, 2.027, 14
64.52, 1.444, 18
76.89, 1.240, 24

(2)
Diffraction record for LiAlAu5. The powder X-ray diffraction pattern is computed, not measured: it uses a PBE-relaxed structure and a wavelength of 1.5418 Å.
Neutral-atom scattering factors, no anomalous dispersion.

Crystal structure
Lattice parameters (Å, degrees): 4.7826 4.7826 5.9373 90.00 90.00 109.00
Sites, in units of the cell vectors:
Li  0.0000  0.0000  0.0000
Al  0.5000  0.5000  0.5000
Au  0.0000  0.0000  0.5000
Au  0.0000  0.5000  0.2359
Au  0.0000  0.5000  0.7641
Au  0.5000  0.0000  0.2359
Au  0.5000  0.0000  0.7641

Principal peaks in the range 15° ≤ 2θ ≤ 90°, in order of rising 2θ:
2theta, d_spacing, I_rel
22.84, 3.894, 56
38.12, 2.361, 100
39.87, 2.261, 91
44.68, 2.028, 64
46.65, 1.947, 29
66.58, 1.404, 40

(3)
Diffraction record for K4CdI6. The powder X-ray diffraction pattern is computed, not measured: it uses a PBE-relaxed structure and a wavelength of 1.5418 Å.
Neutral-atom scattering factors, no anomalous dispersion.

Crystal structure
Lattice parameters (Å, degrees): 9.5567 9.5567 16.7852 110.12 110.12 56.35
Sites, in units of the cell vectors:
K  0.1346  0.8654  0.5000
K  0.2142  0.4986  0.0228
K  0.3978  0.7448  0.8246
K  0.4986  0.2142  0.5228
K  0.5292  0.9305  0.1731
K  0.7448  0.3978  0.3246
K  0.8654  0.1346  0.0000
K  0.9305  0.5292  0.6731
Cd  0.0604  0.5310  0.2653
Cd  0.5310  0.0604  0.7653
I  0.2030  0.6040  0.6243
I  0.2087  0.2116  0.3104
I  0.2116  0.2087  0.8104
I  0.2701  0.6719  0.2969
I  0.2742  0.8048  0.0052
I  0.5219  0.8871  0.5893
I  0.6040  0.2030  0.1243
I  0.6719  0.2701  0.7969
I  0.7625  0.7916  0.8632
I  0.7916  0.7625  0.3632
I  0.8048  0.2742  0.5052
I  0.8871  0.5219  0.0893

Principal peaks in the range 15° ≤ 2θ ≤ 90°, in order of rising 2θ:
2theta, d_spacing, I_rel
18.66, 4.754, 100
21.27, 4.177, 73
22.45, 3.959, 100
22.81, 3.898, 85
22.99, 3.869, 73
23.44, 3.794, 88

(4)
Diffraction record for Ac5Mg2In5. The powder X-ray diffraction pattern is computed, not measured: it uses a PBE-relaxed structure and a wavelength of 1.5418 Å.
Neutral-atom scattering factors, no anomalous dispersion.

Crystal structure
Lattice parameters (Å, degrees): 9.3227 9.3227 9.3227 147.84 110.11 79.03
Sites, in units of the cell vectors:
Ac  0.0000  0.0000  0.0000
Ac  0.1676  0.8564  0.3112
Ac  0.4548  0.1436  0.3112
Ac  0.5452  0.8564  0.6888
Ac  0.8324  0.1436  0.6888
Mg  0.1575  0.6575  0.5000
Mg  0.8425  0.3425  0.5000
In  0.2081  0.5000  0.7081
In  0.2609  0.2609  0.0000
In  0.5000  0.5000  0.0000
In  0.7391  0.7391  0.0000
In  0.7919  0.5000  0.2919

Principal peaks in the range 15° ≤ 2θ ≤ 90°, in order of rising 2θ:
2theta, d_spacing, I_rel
25.35, 3.514, 27
29.96, 2.983, 20
30.48, 2.933, 100
31.45, 2.845, 31
34.74, 2.582, 26
46.53, 1.952, 21

(5)
Diffraction record for K3Ir5. The powder X-ray diffraction pattern is computed, not measured: it uses a PBE-relaxed structure and a wavelength of 1.5418 Å.
Neutral-atom scattering factors, no anomalous dispersion.

Crystal structure
Lattice parameters (Å, degrees): 12.4318 9.1558 9.1559 85.52 47.24 47.24
Sites, in units of the cell vectors:
K  0.0000  0.0000  0.0000
K  0.4256  0.4256  0.5744
K  0.4632  0.4632  0.0368
K  0.5000  0.9258  0.0742
K  0.9258  0.5000  0.5000
K  0.9632  0.9632  0.5368
Ir  0.0301  0.2439  0.7561
Ir  0.1814  0.3956  0.6044
Ir  0.2439  0.0301  0.9699
Ir  0.3956  0.1814  0.8186
Ir  0.4629  0.9625  0.5371
Ir  0.5300  0.6814  0.3186
Ir  0.6814  0.5300  0.4700
Ir  0.7439  0.8956  0.1044
Ir  0.8956  0.7439  0.2561
Ir  0.9625  0.4629  0.0375

Principal peaks in the range 15° ≤ 2θ ≤ 90°, in order of rising 2θ:
2theta, d_spacing, I_rel
28.72, 3.108, 75
36.87, 2.438, 100
40.79, 2.212, 93
42.12, 2.145, 64
47.14, 1.928, 80
48.33, 1.883, 68

(6)
Diffraction record for ErAg2Hg. The powder X-ray diffraction pattern is computed, not measured: it uses a PBE-relaxed structure and a wavelength of 1.5418 Å.
Neutral-atom scattering factors, no anomalous dispersion.

Crystal structure
Lattice parameters (Å, degrees): 3.6821 3.6821 6.4710 90.00 90.00 90.00
Sites, in units of the cell vectors:
Er  0.0000  0.0000  0.0000
Ag  0.5000  0.5000  0.2522
Ag  0.5000  0.5000  0.7478
Hg  0.0000  0.0000  0.5000

Principal peaks in the range 15° ≤ 2θ ≤ 90°, in order of rising 2θ:
2theta, d_spacing, I_rel
34.45, 2.604, 61
36.99, 2.430, 100
49.51, 1.841, 22
63.38, 1.468, 41
68.25, 1.374, 16
78.75, 1.215, 11